Diffraction record for Li3Mn4O8. The PXRD pattern is computed, not measured: it uses a GGA+U-relaxed structure and Cu Kα X-rays.
Intensities are scaled so that the largest is 100.

Principal peaks in the range 2θ = 10–90°, in order of rising 2θ:
(0 0 1), d 4.880, 18.2°, I 100
(4 0 -1), d 2.686, 33.4°, I 18
(2 2 0), d 2.496, 36.0°, I 22
(2 2 -1), d 2.428, 37.0°, I 7
(4 0 -2), d 2.244, 40.2°, I 28
(2 2 1), d 2.061, 43.9°, I 43
(2 2 -2), d 1.951, 46.5°, I 9
(2 2 2), d 1.592, 57.9°, I 9
(6 2 -1), d 1.527, 60.6°, I 14
(2 2 -3), d 1.508, 61.5°, I 12

```
data_Li3Mn4O8
_cell_length_a 10.819
_cell_length_b 5.776
_cell_length_c 5.322
_cell_angle_alpha 90.00
_cell_angle_beta 113.51
_cell_angle_gamma 90.00
_space_group_name_H-M_alt 'C 1 m 1'
_space_group_IT_number 8
loop_
_space_group_symop_operation_xyz
'x,y,z'
'x,-y,z'
'x+1/2,y+1/2,z'
'x+1/2,-y+1/2,z'
loop_
_atom_site_label
_atom_site_fract_x
_atom_site_fract_y
_atom_site_fract_z
Li1 0.000 0.000 0.000
Li2 0.256 0.251 0.985
Mn1 0.008 0.252 0.488
Mn2 0.253 0.500 0.473
Mn3 0.261 0.000 0.494
O1 0.121 0.500 0.698
O2 0.138 0.000 0.695
O3 0.149 0.237 0.257
O4 0.366 0.258 0.710
O5 0.376 0.000 0.289
O6 0.399 0.500 0.258
```